Record 1
Structure and simulated powder diffraction line list of AcCePt (the PBE geometry in Alexandria; CuKα).

Main lines, by intensity (15° ≤ 2θ ≤ 90°):
| 2theta | d [Å] | I_rel |
| --- | --- | --- |
| 29.20 | 3.059 | 100 |
| 37.71 | 2.385 | 52 |
| 48.39 | 1.881 | 25 |
| 62.93 | 1.477 | 23 |
| 45.51 | 1.993 | 19 |
| 55.84 | 1.646 | 14 |
| 87.87 | 1.111 | 10 |
| 73.57 | 1.287 | 9 |

Structure:
abc: 4.7703 4.7703 4.5509
angles: 90.00 90.00 120.00
Positions (direct):
Ac1 0.0000 0.0000 0.0000
Ce1 0.3333 0.6667 0.4604
Pt1 0.6667 0.3333 0.6310



Record 2
Structure and simulated powder diffraction line list of Ac2Ce3Pt4 (the PBE geometry in Alexandria; CuKα).

Main lines, by intensity (15° ≤ 2θ ≤ 90°):
| 2theta | d [Å] | I_rel |
| --- | --- | --- |
| 32.29 | 2.772 | 100 |
| 31.99 | 2.798 | 82 |
| 36.03 | 2.493 | 81 |
| 35.13 | 2.555 | 79 |
| 29.59 | 3.019 | 50 |
| 29.85 | 2.993 | 39 |
| 31.88 | 2.807 | 36 |
| 36.51 | 2.461 | 32 |

Structure:
abc: 7.8574 7.9167 8.0967
angles: 90.00 110.00 90.00
Positions (direct):
Ac1 0.1934 0.1761 0.0789
Ac2 0.1934 0.3239 0.5789
Ac3 0.8066 0.6761 0.4211
Ac4 0.8066 0.8239 0.9211
Ce1 0.2478 0.6593 0.2504
Ce2 0.2478 0.8407 0.7504
Ce3 0.5000 0.0000 0.5000
Ce4 0.5000 0.5000 0.0000
Ce5 0.7522 0.1593 0.2496
Ce6 0.7522 0.3407 0.7496
Pt1 0.0931 0.5437 0.8632
Pt2 0.0931 0.9563 0.3632
Pt3 0.4974 0.6350 0.6280
Pt4 0.4974 0.8650 0.1280
Pt5 0.5026 0.1350 0.8720
Pt6 0.5026 0.3650 0.3720
Pt7 0.9069 0.0437 0.6368
Pt8 0.9069 0.4563 0.1368



Record 3
Structure and simulated powder diffraction line list of Ac12CeRh7 (the PBE geometry in Alexandria; CuKα).

Main lines, by intensity (15° ≤ 2θ ≤ 90°):
| 2theta | d [Å] | I_rel |
| --- | --- | --- |
| 29.70 | 3.008 | 100 |
| 25.69 | 3.467 | 48 |
| 42.37 | 2.133 | 39 |
| 42.62 | 2.121 | 38 |
| 52.81 | 1.734 | 20 |
| 70.10 | 1.342 | 17 |
| 69.74 | 1.348 | 17 |
| 50.33 | 1.813 | 16 |

Structure:
abc: 9.4971 9.4971 9.4971
angles: 107.28 107.28 107.28
Positions (direct):
Ac1 0.0492 0.1263 0.3447
Ac2 0.1263 0.3447 0.0492
Ac3 0.1862 0.5750 0.7212
Ac4 0.2788 0.8138 0.4250
Ac5 0.3447 0.0492 0.1263
Ac6 0.4250 0.2788 0.8138
Ac7 0.5750 0.7212 0.1862
Ac8 0.6553 0.9508 0.8737
Ac9 0.7212 0.1862 0.5750
Ac10 0.8138 0.4250 0.2788
Ac11 0.8737 0.6553 0.9508
Ac12 0.9508 0.8737 0.6553
Ce1 0.5000 0.5000 0.5000
Rh1 0.0000 0.0000 0.0000
Rh2 0.1603 0.4731 0.3865
Rh3 0.3865 0.1603 0.4731
Rh4 0.4731 0.3865 0.1603
Rh5 0.5269 0.6135 0.8397
Rh6 0.6135 0.8397 0.5269
Rh7 0.8397 0.5269 0.6135



Record 4
Structure and simulated powder diffraction line list of AcCeRhS4 (the PBE geometry in Alexandria; CuKα).

Main lines, by intensity (15° ≤ 2θ ≤ 90°):
| 2theta | d [Å] | I_rel |
| --- | --- | --- |
| 26.37 | 3.380 | 100 |
| 29.03 | 3.075 | 86 |
| 36.77 | 2.444 | 55 |
| 41.53 | 2.175 | 53 |
| 34.64 | 2.589 | 48 |
| 44.53 | 2.035 | 38 |
| 49.86 | 1.829 | 37 |
| 62.52 | 1.486 | 28 |

Structure:
abc: 4.3493 4.3493 16.1139
angles: 90.00 90.00 90.00
Positions (direct):
Ac1 0.0000 0.0000 0.0000
Ac2 0.5000 0.5000 0.5000
Ce1 0.0000 0.0000 0.7287
Ce2 0.5000 0.5000 0.2287
Rh1 0.0000 0.0000 0.4026
Rh2 0.5000 0.5000 0.9026
S1 0.0000 0.0000 0.1824
S2 0.0000 0.0000 0.5532
S3 0.0000 0.5000 0.3501
S4 0.0000 0.5000 0.8501
S5 0.5000 0.0000 0.3501
S6 0.5000 0.0000 0.8501
S7 0.5000 0.5000 0.0532
S8 0.5000 0.5000 0.6824



Record 5
Structure and simulated powder diffraction line list of AcCeRu2 (the PBE geometry in Alexandria; CuKα).

Main lines, by intensity (15° ≤ 2θ ≤ 90°):
| 2theta | d [Å] | I_rel |
| --- | --- | --- |
| 27.67 | 3.224 | 100 |
| 27.49 | 3.244 | 64 |
| 39.90 | 2.259 | 60 |
| 38.81 | 2.320 | 43 |
| 40.28 | 2.239 | 28 |
| 49.45 | 1.843 | 25 |
| 38.95 | 2.313 | 21 |
| 53.08 | 1.725 | 19 |

Structure:
abc: 8.9562 7.8502 5.7635
angles: 90.00 90.17 90.00
Positions (direct):
Ac1 0.1380 0.0818 0.2637
Ac2 0.1380 0.4182 0.7637
Ac3 0.8620 0.5818 0.2363
Ac4 0.8620 0.9182 0.7363
Ce1 0.3798 0.6092 0.2816
Ce2 0.3798 0.8908 0.7816
Ce3 0.6202 0.1092 0.2184
Ce4 0.6202 0.3908 0.7184
Ru1 0.1513 0.7235 0.4411
Ru2 0.1513 0.7765 0.9411
Ru3 0.4056 0.2388 0.5774
Ru4 0.4056 0.2612 0.0774
Ru5 0.5944 0.7388 0.9226
Ru6 0.5944 0.7612 0.4226
Ru7 0.8487 0.2235 0.0589
Ru8 0.8487 0.2765 0.5589



Record 6
Structure and simulated powder diffraction line list of Ac4CeS6 (the PBE geometry in Alexandria; CuKα).

Main lines, by intensity (15° ≤ 2θ ≤ 90°):
| 2theta | d [Å] | I_rel |
| --- | --- | --- |
| 25.89 | 3.442 | 100 |
| 23.71 | 3.752 | 75 |
| 35.39 | 2.536 | 40 |
| 30.14 | 2.965 | 35 |
| 45.77 | 1.982 | 30 |
| 33.77 | 2.655 | 29 |
| 31.85 | 2.810 | 27 |
| 45.66 | 1.987 | 23 |

Structure:
abc: 8.4086 8.4086 8.4086
angles: 90.31 90.31 90.31
Positions (direct):
Ac1 0.1256 0.7500 0.3744
Ac2 0.2500 0.2500 0.2500
Ac3 0.2500 0.6256 0.8744
Ac4 0.3744 0.1256 0.7500
Ac5 0.6256 0.8744 0.2500
Ac6 0.7500 0.3744 0.1256
Ac7 0.7500 0.7500 0.7500
Ac8 0.8744 0.2500 0.6256
Ce1 0.0000 0.0000 0.0000
Ce2 0.5000 0.5000 0.5000
S1 0.0619 0.9142 0.6878
S2 0.0858 0.3122 0.9381
S3 0.1878 0.4142 0.5619
S4 0.3122 0.9381 0.0858
S5 0.4142 0.5619 0.1878
S6 0.4381 0.8122 0.5858
S7 0.5619 0.1878 0.4142
S8 0.5858 0.4381 0.8122
S9 0.6878 0.0619 0.9142
S10 0.8122 0.5858 0.4381
S11 0.9142 0.6878 0.0619
S12 0.9381 0.0858 0.3122



Record 7
Structure and simulated powder diffraction line list of Ac2CeS3 (the PBE geometry in Alexandria; CuKα).

Main lines, by intensity (15° ≤ 2θ ≤ 90°):
| 2theta | d [Å] | I_rel |
| --- | --- | --- |
| 29.87 | 2.992 | 100 |
| 25.79 | 3.454 | 93 |
| 42.75 | 2.115 | 75 |
| 50.60 | 1.804 | 49 |
| 53.02 | 1.727 | 27 |
| 78.28 | 1.221 | 26 |
| 70.33 | 1.339 | 23 |
| 68.34 | 1.373 | 20 |

Structure:
abc: 4.2336 4.2336 17.9262
angles: 90.00 90.00 90.00
Positions (direct):
Ac1 0.0000 0.0000 0.1655
Ac2 0.0000 0.0000 0.8345
Ac3 0.5000 0.5000 0.3345
Ac4 0.5000 0.5000 0.6655
Ce1 0.0000 0.0000 0.5000
Ce2 0.5000 0.5000 0.0000
S1 0.0000 0.0000 0.0000
S2 0.0000 0.0000 0.3373
S3 0.0000 0.0000 0.6627
S4 0.5000 0.5000 0.1627
S5 0.5000 0.5000 0.5000
S6 0.5000 0.5000 0.8373



Record 8
Structure and simulated powder diffraction line list of Ac2CeS4 (the PBE geometry in Alexandria; CuKα).

Main lines, by intensity (15° ≤ 2θ ≤ 90°):
| 2theta | d [Å] | I_rel |
| --- | --- | --- |
| 22.95 | 3.876 | 100 |
| 31.61 | 2.831 | 42 |
| 39.02 | 2.308 | 34 |
| 24.97 | 3.566 | 28 |
| 50.44 | 1.809 | 27 |
| 29.51 | 3.027 | 27 |
| 42.78 | 2.114 | 26 |
| 23.51 | 3.784 | 24 |

Structure:
abc: 7.4201 7.4201 13.8495
angles: 90.00 90.00 147.99
Positions (direct):
Ac1 0.1308 0.8692 0.5735
Ac2 0.1308 0.8692 0.9265
Ac3 0.8692 0.1308 0.0735
Ac4 0.8692 0.1308 0.4265
Ce1 0.3748 0.6252 0.7500
Ce2 0.6252 0.3748 0.2500
S1 0.0159 0.9841 0.7500
S2 0.2209 0.7791 0.1258
S3 0.2209 0.7791 0.3742
S4 0.5000 0.5000 0.0000
S5 0.5000 0.5000 0.5000
S6 0.7791 0.2209 0.6258
S7 0.7791 0.2209 0.8742
S8 0.9841 0.0159 0.2500